Entry 1:
The following is a theoretical PXRD pattern of Sc3GaRh4. It was derived from DFT lattice parameters and positions (GGA-PBE), using copper Kα.
Neutral-atom scattering factors, no anomalous dispersion.

Top 12 peaks for 10 to 90 degrees two-theta, in order of rising 2θ:
2theta, I_rel
12.1, 1
24.3, 1
28.1, 15
40.2, 100
49.7, 1
49.8, 3
58.1, 16
65.8, 6
72.9, 8
73.0, 24
86.7, 5
86.9, 5

Structure:
```
8
Lattice="2.243 1.295 7.342 -2.243 1.295 7.342 0.000 -2.590 7.342" Properties=species:S:1:pos:R:3 pbc="T T T"
Sc 0.000 0.000 0.000
Sc 0.000 0.000 5.419
Sc 0.000 0.000 16.607
Ga 0.000 0.000 11.013
Rh 0.000 0.000 2.755
Rh 0.000 0.000 8.284
Rh 0.000 0.000 13.743
Rh 0.000 0.000 19.271
```

---

Entry 2:
The following is a theoretical PXRD pattern of In4Bi2Pb. It was derived from DFT lattice parameters and positions (GGA-PBE), using copper Kα.
Neutral-atom scattering factors, no anomalous dispersion.

Top 12 peaks for 10 to 90 degrees two-theta, in order of rising 2θ:
2theta, I_rel
27.9, 19
28.3, 85
28.5, 31
30.3, 65
31.1, 36
32.4, 51
35.7, 100
36.0, 53
44.0, 19
55.2, 49
56.2, 20
62.0, 23

Structure:
```
14
Lattice="5.752 -3.133 0.000 5.752 3.133 0.000 0.000 0.000 11.787" Properties=species:S:1:pos:R:3 pbc="T T T"
In 2.876 1.550 8.840
In 5.752 3.107 9.350
In 5.752 0.025 3.456
In 2.876 -1.550 2.947
In 8.629 1.550 8.840
In 5.752 -0.025 8.331
In 5.752 -3.107 2.438
In 8.629 -1.550 2.947
Bi 2.226 0.000 0.000
Bi 3.526 0.000 5.894
Bi 7.979 0.000 5.894
Bi 9.279 0.000 0.000
Pb 0.000 0.000 5.894
Pb 5.752 0.000 0.000
```

---

Entry 3:
The following is a theoretical PXRD pattern of NaHoP2O8. It was derived from DFT lattice parameters and positions (GGA-PBE), using copper Kα.
Neutral-atom scattering factors, no anomalous dispersion.

Top 12 peaks for 10 to 90 degrees two-theta, in order of rising 2θ:
2theta, I_rel
18.0, 58
19.2, 70
25.5, 100
32.2, 34
34.4, 62
39.1, 23
41.5, 25
46.2, 15
49.3, 25
50.9, 50
72.5, 17
89.5, 16

Structure:
```
12
Lattice="-3.491 3.491 3.072 3.491 -3.491 3.072 3.491 3.491 -3.072" Properties=species:S:1:pos:R:3 pbc="T T T"
Na 0.000 0.000 0.000
Ho 0.000 3.491 1.536
P 3.491 0.000 1.536
P 0.000 0.000 3.072
O 2.280 0.000 0.573
O 4.702 0.000 0.573
O 3.491 2.232 -0.900
O 3.491 -1.211 2.499
O 0.000 1.259 2.172
O 3.491 1.211 2.499
O 2.232 3.491 0.900
O 1.259 0.000 3.972
```

---

Entry 4:
The following is a theoretical PXRD pattern of Y3Tl2Hg. It was derived from DFT lattice parameters and positions (GGA-PBE), using copper Kα.
Neutral-atom scattering factors, no anomalous dispersion.

Top 12 peaks for 10 to 90 degrees two-theta, in order of rising 2θ:
2theta, I_rel
23.1, 9
23.8, 16
33.4, 100
33.8, 49
41.4, 8
47.2, 9
48.6, 18
59.4, 19
60.3, 37
70.1, 11
81.0, 8
81.2, 8

Structure:
```
6
Lattice="3.745 0.000 0.000 0.000 3.745 0.000 0.000 0.000 11.550" Properties=species:S:1:pos:R:3 pbc="T T T"
Y 0.000 0.000 0.000
Y 0.000 0.000 3.955
Y 0.000 0.000 7.595
Tl 1.873 1.873 1.989
Tl 1.873 1.873 9.560
Hg 1.873 1.873 5.775
```